The following is a theoretical powder XRD pattern of Sb3Se2S2. It was derived from a cell relaxed with GGA-PBE, using λ = 1.5418 Å (Cu Kα).

Structure:
```
14
Lattice="8.1818 0.0000 0.0000 0.0000 7.6477 0.0000 -3.0679 0.0000 6.9909" Properties=species:S:1:pos:R:3 pbc="T T T"
Sb 0.0000 0.0000 0.0000
Sb -1.5339 3.8238 3.4955
Sb -0.2341 0.3453 4.9620
Sb 1.2998 3.4785 1.4665
Sb 3.8142 4.1692 5.5244
Sb 5.3481 7.3023 2.0290
Se 2.5222 1.1868 0.6780
Se 0.9883 2.6371 4.1734
Se 4.1257 5.0106 2.8175
Se 2.5917 6.4609 6.3129
S -2.0559 5.0021 5.9999
S -0.5219 6.4694 2.5044
S 5.6359 1.1782 4.4865
S 7.1698 2.6456 0.9911
```

Largest 8 diffraction maxima, low angle first, 10° ≤ 2θ ≤ 90°:
- 16.56°, rel. 71, hkl 1 1 0
- 23.32°, rel. 90, hkl 1 0 -2
- 23.67°, rel. 75, hkl 1 1 1
- 34.97°, rel. 100, hkl 3 1 -1
- 35.94°, rel. 80, hkl 2 2 -2
- 37.41°, rel. 71, hkl 1 1 -3
- 41.12°, rel. 68, hkl 1 3 1
- 41.85°, rel. 50, hkl 2 0 2